No. 1
Rb4CaSe4O14: theoretical X-ray powder pattern (Cu Kα X-rays), based on DFT lattice parameters and positions (PBE).
Peak positions follow from Bragg's law for the DFT cell and can differ from measured ones.

Structure:
```
data_Rb4CaSe4O14
_cell_length_a 8.068
_cell_length_b 8.099
_cell_length_c 8.103
_cell_angle_alpha 86.49
_cell_angle_beta 83.96
_cell_angle_gamma 63.26
_symmetry_space_group_name_H-M 'P 1'
_symmetry_Int_Tables_number 1
_symmetry_space_group_name_Hall 'P 1'
loop_
_atom_site_label
_atom_site_type_symbol
_atom_site_fract_x
_atom_site_fract_y
_atom_site_fract_z
Rb1 Rb 0.000 0.000 0.000
Rb2 Rb 0.094 0.518 0.364
Rb3 Rb 0.442 0.047 0.681
Rb4 Rb 0.801 0.548 0.839
Ca1 Ca 0.365 0.826 0.317
Se1 Se 0.297 0.505 0.846
Se2 Se 0.463 0.103 0.132
Se3 Se 0.687 0.439 0.336
Se4 Se 0.921 0.014 0.563
O1 O 0.016 0.130 0.648
O2 O 0.066 0.893 0.400
O3 O 0.149 0.598 0.012
O4 O 0.194 0.439 0.713
O5 O 0.370 0.113 0.336
O6 O 0.373 0.970 0.050
O7 O 0.385 0.644 0.759
O8 O 0.477 0.514 0.257
O9 O 0.485 0.306 0.905
O10 O 0.667 0.641 0.419
O11 O 0.691 0.970 0.125
O12 O 0.714 0.162 0.491
O13 O 0.859 0.373 0.181
O14 O 0.875 0.873 0.696
```

Main lines, low angle first (10° ≤ 2θ ≤ 90°):
- 4.006 Å, I 65, hkl 2 1 0
- 3.749 Å, I 33, hkl 2 1 1
- 3.616 Å, I 100, hkl 0 2 0
- 3.543 Å, I 70, hkl 0 1 2
- 3.496 Å, I 90, hkl 0 1 -2
- 3.444 Å, I 39, hkl 2 1 -1
- 3.271 Å, I 35, hkl 2 2 1
- 2.950 Å, I 26, hkl 1 2 2
- 2.804 Å, I 30, hkl 2 0 2
- 2.761 Å, I 44, hkl 2 -1 0

No. 2
TaPO5: theoretical X-ray powder pattern (Cu Kα X-rays), based on DFT lattice parameters and positions (PBE).
Peak positions follow from Bragg's law for the DFT cell and can differ from measured ones.

Structure:
```
data_TaPO5
_cell_length_a 6.493
_cell_length_b 6.493
_cell_length_c 4.088
_cell_angle_alpha 90.00
_cell_angle_beta 90.00
_cell_angle_gamma 90.00
_symmetry_space_group_name_H-M 'P 4/n'
_symmetry_Int_Tables_number 85
loop_
_symmetry_equiv_pos_as_xyz
'x,y,z'
'-x,-y,-z'
'-y+1/2,x,z'
'y+1/2,-x,-z'
'-x+1/2,-y+1/2,z'
'x+1/2,y+1/2,-z'
'y,-x+1/2,z'
'-y,x+1/2,-z'
loop_
_atom_site_label
_atom_site_type_symbol
_atom_site_fract_x
_atom_site_fract_y
_atom_site_fract_z
Ta1 Ta 0.250 0.250 0.235
P1 P 0.250 0.750 0.500
O1 O 0.055 0.769 0.712
O2 O 0.250 0.250 0.792
```

Main lines, low angle first (10° ≤ 2θ ≤ 90°):
- 4.591 Å, I 56, hkl 1 1 0
- 3.459 Å, I 100, hkl 1 0 1
- 3.246 Å, I 70, hkl 2 0 0
- 2.367 Å, I 35, hkl 2 1 1
- 2.295 Å, I 15, hkl 2 2 0
- 2.053 Å, I 24, hkl 3 1 0
- 1.913 Å, I 27, hkl 3 0 1
- 1.867 Å, I 21, hkl 1 1 2
- 1.648 Å, I 20, hkl 2 3 1
- 1.449 Å, I 24, hkl 3 1 2